[1]
For SrPm4SmTe8, a PBE-relaxed structure gives the calculated powder diffractogram in this record (λ = 1.5418 Å (Cu Kα)).

Most intense lines, 2θ = 10–90°, by intensity:
2θ 38.5, I = 100
2θ 27.0, I = 73
2θ 22.3, I = 50
2θ 35.3, I = 39
2θ 69.7, I = 22
2θ 62.9, I = 22
2θ 11.6, I = 20
2θ 47.7, I = 18
2θ 55.6, I = 16
2θ 74.2, I = 14

Structural model:
Cell: 9.3415 9.3415 9.3415 Å, 60.07 60.07 60.07°
Atoms (fractional coordinates):
1 Sr 0.0000 0.0000 0.0000
2 Pm 0.1200 0.6264 0.6264
3 Pm 0.2495 0.2495 0.2495
4 Pm 0.6264 0.1200 0.6264
5 Pm 0.6264 0.6264 0.1200
6 Sm 0.6265 0.6265 0.6265
7 Te 0.3824 0.3824 0.3824
8 Te 0.3835 0.3835 0.8508
9 Te 0.3835 0.8508 0.3835
10 Te 0.4107 0.8622 0.8622
11 Te 0.8508 0.3835 0.3835
12 Te 0.8622 0.4107 0.8622
13 Te 0.8622 0.8622 0.4107
14 Te 0.8630 0.8630 0.8630

[2]
For CsBaN2, a PBE-relaxed structure gives the calculated powder diffractogram in this record (λ = 1.5418 Å (Cu Kα)).

Most intense lines, 2θ = 10–90°, by intensity:
2θ 25.6, I = 100
2θ 43.2, I = 48
2θ 24.0, I = 47
2θ 34.3, I = 27
2θ 46.0, I = 23
2θ 67.6, I = 13
2θ 69.7, I = 12
2θ 52.6, I = 12
2θ 56.3, I = 11
2θ 55.5, I = 11

Structural model:
Cell: 7.4048 7.4048 9.3184 Å, 90.00 90.00 90.00°
Atoms (fractional coordinates):
1 Cs 0.0000 0.0000 0.0000
2 Cs 0.0000 0.5000 0.2500
3 Cs 0.5000 0.0000 0.7500
4 Cs 0.5000 0.5000 0.5000
5 Ba 0.0000 0.0000 0.5000
6 Ba 0.0000 0.5000 0.7500
7 Ba 0.5000 0.0000 0.2500
8 Ba 0.5000 0.5000 0.0000
9 N 0.1896 0.2500 0.6250
10 N 0.2500 0.6896 0.8750
11 N 0.2500 0.8104 0.3750
12 N 0.3104 0.2500 0.1250
13 N 0.6896 0.7500 0.1250
14 N 0.7500 0.1896 0.3750
15 N 0.7500 0.3104 0.8750
16 N 0.8104 0.7500 0.6250

[3]
For SrCu2N4, a PBE-relaxed structure gives the calculated powder diffractogram in this record (λ = 1.5418 Å (Cu Kα)).

Most intense lines, 2θ = 10–90°, by intensity:
2θ 14.4, I = 100
2θ 29.5, I = 84
2θ 29.7, I = 81
2θ 30.5, I = 78
2θ 42.6, I = 51
2θ 43.1, I = 35
2θ 38.9, I = 31
2θ 35.3, I = 23
2θ 34.7, I = 22
2θ 22.4, I = 20

Structural model:
Cell: 4.2011 4.6344 6.5003 Å, 88.98 71.21 89.83°
Atoms (fractional coordinates):
1 Sr 0.0000 0.0000 0.0000
2 Cu 0.4036 0.4954 0.1960
3 Cu 0.5964 0.5046 0.8040
4 N 0.3549 0.8638 0.2939
5 N 0.3565 0.1222 0.2933
6 N 0.6435 0.8778 0.7067
7 N 0.6451 0.1362 0.7061

[4]
For Pr6Dy2Hg, a PBE-relaxed structure gives the calculated powder diffractogram in this record (λ = 1.5418 Å (Cu Kα)).

Most intense lines, 2θ = 10–90°, by intensity:
2θ 31.8, I = 100
2θ 30.2, I = 84
2θ 32.1, I = 66
2θ 53.4, I = 45
2θ 37.2, I = 45
2θ 59.6, I = 34
2θ 28.0, I = 33
2θ 60.3, I = 16
2θ 49.0, I = 15
2θ 66.7, I = 14

Structural model:
Cell: 9.7361 9.7361 3.7192 Å, 90.00 90.00 120.00°
Atoms (fractional coordinates):
1 Pr 0.0000 0.3788 0.0000
2 Pr 0.0000 0.7259 0.5000
3 Pr 0.2741 0.2741 0.5000
4 Pr 0.3788 0.0000 0.0000
5 Pr 0.6212 0.6212 0.0000
6 Pr 0.7259 0.0000 0.5000
7 Dy 0.3333 0.6667 0.5000
8 Dy 0.6667 0.3333 0.5000
9 Hg 0.0000 0.0000 0.0000

[5]
For Sc3TlP, a PBE-relaxed structure gives the calculated powder diffractogram in this record (λ = 1.5418 Å (Cu Kα)).

Most intense lines, 2θ = 10–90°, by intensity:
2θ 31.2, I = 100
2θ 37.7, I = 99
2θ 18.3, I = 48
2θ 16.9, I = 38
2θ 11.9, I = 36
2θ 28.7, I = 34
2θ 50.9, I = 31
2θ 22.9, I = 29
2θ 36.2, I = 27
2θ 57.7, I = 22

Structural model:
Cell: 8.2659 8.2659 8.2659 Å, 44.17 44.17 44.17°
Atoms (fractional coordinates):
1 Sc 0.1063 0.4651 0.7434
2 Sc 0.2566 0.8937 0.5349
3 Sc 0.4651 0.7434 0.1063
4 Sc 0.5349 0.2566 0.8937
5 Sc 0.7434 0.1063 0.4651
6 Sc 0.8937 0.5349 0.2566
7 Tl 0.3342 0.3342 0.3342
8 Tl 0.6658 0.6658 0.6658
9 P 0.1567 0.1567 0.1567
10 P 0.8433 0.8433 0.8433

[6]
For BaSi2Sb, a PBE-relaxed structure gives the calculated powder diffractogram in this record (λ = 1.5418 Å (Cu Kα)).

Most intense lines, 2θ = 10–90°, by intensity:
2θ 28.5, I = 100
2θ 43.1, I = 63
2θ 22.2, I = 57
2θ 31.6, I = 48
2θ 53.9, I = 22
2θ 64.3, I = 19
2θ 51.1, I = 17
2θ 45.3, I = 16
2θ 54.4, I = 15
2θ 73.0, I = 14

Structural model:
Cell: 8.0009 8.0009 7.5127 Å, 90.00 90.00 90.00°
Atoms (fractional coordinates):
1 Ba 0.0000 0.0000 0.0000
2 Ba 0.0000 0.5000 0.2500
3 Ba 0.5000 0.0000 0.7500
4 Ba 0.5000 0.5000 0.5000
5 Si 0.1818 0.2500 0.6250
6 Si 0.2500 0.6818 0.8750
7 Si 0.2500 0.8182 0.3750
8 Si 0.3182 0.2500 0.1250
9 Si 0.6818 0.7500 0.1250
10 Si 0.7500 0.1818 0.3750
11 Si 0.7500 0.3182 0.8750
12 Si 0.8182 0.7500 0.6250
13 Sb 0.0000 0.0000 0.5000
14 Sb 0.0000 0.5000 0.7500
15 Sb 0.5000 0.0000 0.2500
16 Sb 0.5000 0.5000 0.0000

[7]
For LuAg3, a PBE-relaxed structure gives the calculated powder diffractogram in this record (λ = 1.5418 Å (Cu Kα)).

Most intense lines, 2θ = 10–90°, by intensity:
2θ 35.9, I = 100
2θ 40.7, I = 35
2θ 70.9, I = 26
2θ 61.2, I = 20
2θ 43.7, I = 14
2θ 58.9, I = 11
2θ 75.1, I = 11
2θ 76.1, I = 11
2θ 88.0, I = 4
2θ 20.0, I = 3

Structural model:
Cell: 4.4375 4.4375 4.1451 Å, 90.00 90.00 90.00°
Atoms (fractional coordinates):
1 Lu 0.0000 0.0000 0.0000
2 Ag 0.0000 0.5000 0.5000
3 Ag 0.5000 0.0000 0.5000
4 Ag 0.5000 0.5000 0.0000

[8]
For Nd2Y17, a PBE-relaxed structure gives the calculated powder diffractogram in this record (λ = 1.5418 Å (Cu Kα)).

Most intense lines, 2θ = 10–90°, by intensity:
2θ 31.2, I = 100
2θ 31.6, I = 42
2θ 27.2, I = 42
2θ 35.1, I = 31
2θ 30.4, I = 19
2θ 56.2, I = 17
2θ 54.5, I = 15
2θ 56.0, I = 15
2θ 50.7, I = 12
2θ 47.9, I = 11

Structural model:
Cell: 8.8047 8.8047 8.8047 Å, 80.16 80.16 80.16°
Atoms (fractional coordinates):
1 Nd 0.1741 0.1741 0.1741
2 Nd 0.8259 0.8259 0.8259
3 Y 0.0000 0.5000 0.5000
4 Y 0.1326 0.1326 0.6493
5 Y 0.1326 0.6493 0.1326
6 Y 0.2018 0.5000 0.7982
7 Y 0.2018 0.7982 0.5000
8 Y 0.3507 0.8674 0.8674
9 Y 0.4019 0.4019 0.4019
10 Y 0.5000 0.0000 0.5000
11 Y 0.5000 0.2018 0.7982
12 Y 0.5000 0.5000 0.0000
13 Y 0.5000 0.7982 0.2018
14 Y 0.5981 0.5981 0.5981
15 Y 0.6493 0.1326 0.1326
16 Y 0.7982 0.2018 0.5000
17 Y 0.7982 0.5000 0.2018
18 Y 0.8674 0.3507 0.8674
19 Y 0.8674 0.8674 0.3507

[9]
For In3SnBi4, a PBE-relaxed structure gives the calculated powder diffractogram in this record (λ = 1.5418 Å (Cu Kα)).

Most intense lines, 2θ = 10–90°, by intensity:
2θ 31.5, I = 100
2θ 31.7, I = 97
2θ 34.9, I = 39
2θ 33.5, I = 37
2θ 49.2, I = 26
2θ 41.0, I = 25
2θ 55.0, I = 22
2θ 60.5, I = 16
2θ 60.6, I = 16
2θ 16.6, I = 15

Structural model:
Cell: 21.7938 5.1358 4.4004 Å, 90.00 101.20 90.00°
Atoms (fractional coordinates):
1 In 0.0000 0.0000 0.0000
2 In 0.2440 0.0000 0.2462
3 In 0.2560 0.5000 0.7538
4 In 0.5000 0.5000 0.0000
5 In 0.7440 0.5000 0.2462
6 In 0.7560 0.0000 0.7538
7 Sn 0.0000 0.5000 0.5000
8 Sn 0.5000 0.0000 0.5000
9 Bi 0.1160 0.0000 0.6186
10 Bi 0.1345 0.5000 0.1301
11 Bi 0.3655 0.0000 0.8699
12 Bi 0.3840 0.5000 0.3814
13 Bi 0.6160 0.5000 0.6186
14 Bi 0.6345 0.0000 0.1301
15 Bi 0.8655 0.5000 0.8699
16 Bi 0.8840 0.0000 0.3814

[10]
For Ce2Sm2Ir3, a PBE-relaxed structure gives the calculated powder diffractogram in this record (λ = 1.5418 Å (Cu Kα)).

Most intense lines, 2θ = 10–90°, by intensity:
2θ 32.4, I = 100
2θ 38.5, I = 52
2θ 65.8, I = 26
2θ 53.4, I = 26
2θ 80.7, I = 21
2θ 46.4, I = 17
2θ 48.8, I = 13
2θ 24.9, I = 11
2θ 69.7, I = 11
2θ 51.2, I = 11

Structural model:
Cell: 7.5752 7.5752 7.5752 Å, 109.47 109.47 109.47°
Atoms (fractional coordinates):
1 Ce 0.0000 0.8844 0.5000
2 Ce 0.5000 0.0000 0.8844
3 Ce 0.6156 0.6156 0.6156
4 Ce 0.8844 0.5000 0.0000
5 Sm 0.0000 0.3730 0.5000
6 Sm 0.1270 0.1270 0.1270
7 Sm 0.3730 0.5000 0.0000
8 Sm 0.5000 0.0000 0.3730
9 Ir 0.1205 0.7500 0.8705
10 Ir 0.2500 0.6295 0.3795
11 Ir 0.3795 0.2500 0.6295
12 Ir 0.6295 0.3795 0.2500
13 Ir 0.7500 0.8705 0.1205
14 Ir 0.8705 0.1205 0.7500

[11]
For NdYInPb, a PBE-relaxed structure gives the calculated powder diffractogram in this record (λ = 1.5418 Å (Cu Kα)).

Most intense lines, 2θ = 10–90°, by intensity:
2θ 32.1, I = 100
2θ 35.5, I = 38
2θ 61.6, I = 31
2θ 54.8, I = 22
2θ 40.3, I = 13
2θ 51.2, I = 13
2θ 67.0, I = 12
2θ 89.9, I = 11
2θ 68.1, I = 11
2θ 20.2, I = 10

Structural model:
Cell: 5.0510 5.0510 8.9591 Å, 90.00 90.00 90.00°
Atoms (fractional coordinates):
1 Nd 0.0000 0.0000 0.0000
2 Nd 0.5000 0.5000 0.5000
3 Y 0.0000 0.0000 0.5000
4 Y 0.5000 0.5000 0.0000
5 In 0.0000 0.5000 0.2500
6 In 0.5000 0.0000 0.7500
7 Pb 0.0000 0.5000 0.7500
8 Pb 0.5000 0.0000 0.2500

[12]
For Ca3CdF8, a PBE-relaxed structure gives the calculated powder diffractogram in this record (λ = 1.5418 Å (Cu Kα)).

Most intense lines, 2θ = 10–90°, by intensity:
2θ 28.1, I = 100
2θ 46.7, I = 91
2θ 55.3, I = 40
2θ 86.6, I = 23
2θ 16.1, I = 23
2θ 22.8, I = 21
2θ 75.2, I = 15
2θ 36.5, I = 13
2θ 68.1, I = 12
2θ 40.1, I = 10

Structural model:
Cell: 5.5056 5.5056 5.5056 Å, 90.00 90.00 90.00°
Atoms (fractional coordinates):
1 Ca 0.0000 0.0000 0.5000
2 Ca 0.0000 0.5000 0.0000
3 Ca 0.5000 0.0000 0.0000
4 Cd 0.5000 0.5000 0.5000
5 F 0.2497 0.2497 0.2497
6 F 0.2497 0.2497 0.7503
7 F 0.2497 0.7503 0.2497
8 F 0.2497 0.7503 0.7503
9 F 0.7503 0.2497 0.2497
10 F 0.7503 0.2497 0.7503
11 F 0.7503 0.7503 0.2497
12 F 0.7503 0.7503 0.7503

[13]
For Ce2Ga3H2, a PBE-relaxed structure gives the calculated powder diffractogram in this record (λ = 1.5418 Å (Cu Kα)).

Most intense lines, 2θ = 10–90°, by intensity:
2θ 32.7, I = 100
2θ 37.0, I = 68
2θ 35.1, I = 62
2θ 58.6, I = 37
2θ 57.8, I = 29
2θ 44.4, I = 25
2θ 70.3, I = 21
2θ 49.3, I = 15
2θ 22.3, I = 13
2θ 68.5, I = 11

Structural model:
Cell: 4.0830 3.0689 9.4590 Å, 90.00 102.49 90.00°
Atoms (fractional coordinates):
1 Ce 0.1070 0.0000 0.2150
2 Ce 0.8930 0.0000 0.7850
3 Ga 0.2865 0.5000 0.5729
4 Ga 0.5000 0.5000 0.0000
5 Ga 0.7135 0.5000 0.4271
6 H 0.3970 0.5000 0.7938
7 H 0.6030 0.5000 0.2062